Structure and computed X-ray diffraction stick pattern of SmDy2Rh9 (a cell relaxed with GGA-PBE; Cu Kα (λ = 1.5418 Å)).

The 10 most intense peaks (10° ≤ 2θ ≤ 90°), low angle first:
30.81 deg, intensity 28, hkl 1 0 7
33.58 deg, intensity 28, hkl 0 1 8
33.99 deg, intensity 36, hkl 1 1 0
39.60 deg, intensity 38, hkl 0 2 1
39.89 deg, intensity 100, hkl 1 1 6
41.18 deg, intensity 19, hkl 0 0 12
42.68 deg, intensity 18, hkl 0 1 11
43.18 deg, intensity 29, hkl 2 0 5
64.82 deg, intensity 23, hkl 3 0 6
71.55 deg, intensity 25, hkl 2 2 0

Structural model:
Cell lengths 5.2748, 5.2748, 26.3058 Å; angles 90.00, 90.00, 120.00 degrees
Space group R-3m (No. 166, hexagonal axes)
Unique sites:
Sm 0.0000 0.0000 0.0000
Dy 0.0000 0.0000 0.1392
Rh 0.0000 0.0000 0.3330
Rh 0.0000 0.0000 0.5000
Rh 0.9996 0.4998 0.0829